For BaLaMg14, a structure optimized by DFT (GGA-PBE) gives the simulated powder diffractogram in this record (Cu Kα, 1.54184 Å).
Kinematic intensities with the Lorentz-polarization factor, no thermal factor.

Top 8 peaks for 2θ from 5° to 70°, low angle first:
2θ 8.24, intensity 87; 2θ 15.19, intensity 26; 2θ 17.31, intensity 42; 2θ 30.83, intensity 29; 2θ 33.42, intensity 35; 2θ 35.03, intensity 47; 2θ 35.18, intensity 100; 2θ 60.85, intensity 26

a b c (Å): 10.724 6.722 6.722
angles (deg): 59.65 90.00 90.00
Element x y z (fractional)
Ba 0.000 0.000 0.000
La 0.000 0.497 0.497
Mg 0.000 0.001 0.502
Mg 0.000 0.502 0.001
Mg 0.254 0.672 0.672
Mg 0.261 0.177 0.177
Mg 0.271 0.171 0.660
Mg 0.271 0.660 0.171
Mg 0.500 0.000 0.502
Mg 0.500 0.004 0.004
Mg 0.500 0.502 0.000
Mg 0.500 0.505 0.505
Mg 0.729 0.171 0.660
Mg 0.729 0.660 0.171
Mg 0.739 0.177 0.177
Mg 0.746 0.672 0.672